No. 1
# Hg5BiPb6
Calculated powder XRD pattern, λ = 1.5418 Å (Cu Kα). Input: a crystal structure in Alexandria, relaxed with GGA-PBE.
Kinematic intensities with the Lorentz-polarization factor, no thermal factor.

Main lines, most intense first (2θ = 10–80°):
2theta	I (rel.)
31.37	100
38.09	40
32.88	29
34.19	27
51.11	17
53.08	16
59.44	11
63.73	9
64.60	9
64.73	9

Atomic structure:
```
data_Hg5BiPb6
_cell_length_a 10.944
_cell_length_b 10.205
_cell_length_c 6.332
_cell_angle_alpha 90.00
_cell_angle_beta 95.43
_cell_angle_gamma 90.00
_space_group_name_H-M_alt 'C 1 2/m 1'
_space_group_IT_number 12
loop_
_space_group_symop_operation_xyz
'x,y,z'
'-x,-y,-z'
'-x,y,-z'
'x,-y,z'
'x+1/2,y+1/2,z'
'-x+1/2,-y+1/2,-z'
'-x+1/2,y+1/2,-z'
'x+1/2,-y+1/2,z'
loop_
_atom_site_label
_atom_site_type_symbol
_atom_site_fract_x
_atom_site_fract_y
_atom_site_fract_z
Hg1 Hg 0.000 0.000 0.000
Hg2 Hg 0.000 0.161 0.500
Hg3 Hg 0.000 0.331 0.000
Bi1 Bi 0.000 0.500 0.500
Pb1 Pb 0.245 0.000 0.758
Pb2 Pb 0.246 0.334 0.750
```



No. 2
# HgBiPb6
Calculated powder XRD pattern, λ = 1.5418 Å (Cu Kα). Input: a crystal structure in Alexandria, relaxed with GGA-PBE.
Kinematic intensities with the Lorentz-polarization factor, no thermal factor.

Main lines, most intense first (2θ = 10–80°):
2theta	I (rel.)
31.12	100
35.16	36
60.58	31
52.64	24
37.89	15
50.57	13
64.25	13
64.89	13
74.32	4

Atomic structure:
```
data_HgBiPb6
_cell_length_a 5.105
_cell_length_b 5.105
_cell_length_c 9.498
_cell_angle_alpha 90.00
_cell_angle_beta 90.00
_cell_angle_gamma 90.00
_space_group_name_H-M_alt 'P 4/m m m'
_space_group_IT_number 123
_space_group_name_Hall '-P 4 2'
loop_
_atom_site_label
_atom_site_type_symbol
_atom_site_fract_x
_atom_site_fract_y
_atom_site_fract_z
Hg1 Hg 0.000 0.000 0.000
Bi1 Bi 0.000 0.000 0.500
Pb1 Pb 0.000 0.500 0.248
Pb2 Pb 0.500 0.500 0.000
Pb3 Pb 0.500 0.500 0.500
```



No. 3
# HgBi2Pd2Pb2
Calculated powder XRD pattern, λ = 1.5418 Å (Cu Kα). Input: a crystal structure in Alexandria, relaxed with GGA-PBE.
Kinematic intensities with the Lorentz-polarization factor, no thermal factor.

Main lines, most intense first (2θ = 10–80°):
2theta	I (rel.)
33.26	100
49.20	68
24.68	66
35.19	65
50.62	24
73.26	22
61.92	17
11.16	17
69.83	17
57.10	14

Atomic structure:
```
data_HgBi2Pd2Pb2
_cell_length_a 5.101
_cell_length_b 5.101
_cell_length_c 15.862
_cell_angle_alpha 90.00
_cell_angle_beta 90.00
_cell_angle_gamma 90.00
_space_group_name_H-M_alt 'I 4/m m m'
_space_group_IT_number 139
_space_group_name_Hall '-I 4 2'
loop_
_atom_site_label
_atom_site_type_symbol
_atom_site_fract_x
_atom_site_fract_y
_atom_site_fract_z
Hg1 Hg 0.000 0.000 0.000
Bi1 Bi 0.000 0.000 0.398
Pd1 Pd 0.000 0.500 0.000
Pb1 Pb 0.000 0.000 0.192
```



No. 4
# Rb2Hg2Bi2Pb5
Calculated powder XRD pattern, λ = 1.5418 Å (Cu Kα). Input: a crystal structure in Alexandria, relaxed with GGA-PBE.
Kinematic intensities with the Lorentz-polarization factor, no thermal factor.

Main lines, most intense first (2θ = 10–80°):
2theta	I (rel.)
10.39	100
33.12	83
31.44	75
39.53	68
25.53	51
18.16	42
16.59	37
63.49	32
47.54	31
58.11	27

Atomic structure:
```
data_Rb2Hg2Bi2Pb5
_cell_length_a 5.410
_cell_length_b 5.410
_cell_length_c 34.061
_cell_angle_alpha 90.00
_cell_angle_beta 90.00
_cell_angle_gamma 90.00
_space_group_name_H-M_alt 'I 4/m m m'
_space_group_IT_number 139
_space_group_name_Hall '-I 4 2'
loop_
_atom_site_label
_atom_site_type_symbol
_atom_site_fract_x
_atom_site_fract_y
_atom_site_fract_z
Rb1 Rb 0.000 0.000 0.208
Hg1 Hg 0.000 0.000 0.083
Bi1 Bi 0.000 0.000 0.323
Pb1 Pb 0.000 0.000 0.000
Pb2 Pb 0.000 0.500 0.122
```



Please write out number 4 again, unchanged.
# Rb2Hg2Bi2Pb5
Calculated powder XRD pattern, λ = 1.5418 Å (Cu Kα). Input: a crystal structure in Alexandria, relaxed with GGA-PBE.
Kinematic intensities with the Lorentz-polarization factor, no thermal factor.

Main lines, most intense first (2θ = 10–80°):
2theta	I (rel.)
10.39	100
33.12	83
31.44	75
39.53	68
25.53	51
18.16	42
16.59	37
63.49	32
47.54	31
58.11	27

Atomic structure:
```
data_Rb2Hg2Bi2Pb5
_cell_length_a 5.410
_cell_length_b 5.410
_cell_length_c 34.061
_cell_angle_alpha 90.00
_cell_angle_beta 90.00
_cell_angle_gamma 90.00
_space_group_name_H-M_alt 'I 4/m m m'
_space_group_IT_number 139
_space_group_name_Hall '-I 4 2'
loop_
_atom_site_label
_atom_site_type_symbol
_atom_site_fract_x
_atom_site_fract_y
_atom_site_fract_z
Rb1 Rb 0.000 0.000 0.208
Hg1 Hg 0.000 0.000 0.083
Bi1 Bi 0.000 0.000 0.323
Pb1 Pb 0.000 0.000 0.000
Pb2 Pb 0.000 0.500 0.122
```



- Which formula does entry 1 have?
  Hg5BiPb6